No. 1
This entry pairs a crystal structure of Sr5In2Sb6 with its computed XRD peak list. Radiation: copper Kα. Structure: a DFT-relaxed cell (GGA-PBE, the Materials Project).
Neutral-atom scattering factors, no anomalous dispersion.

Most intense lines, 2θ = 10–90°, low angle first:
(1 2 1), 23.3 deg, rel. 69
(4 1 0), 28.4 deg, rel. 41
(3 1 1), 28.7 deg, rel. 64
(2 3 1), 29.5 deg, rel. 100
(0 4 1), 30.4 deg, rel. 39
(3 3 1), 33.4 deg, rel. 56
(3 5 0), 36.6 deg, rel. 41
(0 0 2), 38.0 deg, rel. 66

Crystal structure
Lattice parameters (Å, degrees): 12.857 14.991 4.735 90.00 90.00 90.00
Space group Pbam (No. 55)
Unique sites:
Sr 0.000 0.000 0.000 (multiplicity 2)
Sr 0.088 0.250 0.000 (multiplicity 4)
Sr 0.174 0.517 0.000 (multiplicity 4)
In 0.170 0.714 0.500 (multiplicity 4)
Sb 0.024 0.405 0.500 (multiplicity 4)
Sb 0.153 0.095 0.500 (multiplicity 4)
Sb 0.163 0.825 0.000 (multiplicity 4)



No. 2
This entry pairs a crystal structure of Mg6ZnCdO8 with its computed XRD peak list. Radiation: copper Kα. Structure: a DFT-relaxed cell (GGA-PBE, the Materials Project).
Neutral-atom scattering factors, no anomalous dispersion.

Most intense lines, 2θ = 10–90°, low angle first:
(1 0 0), 20.3 deg, rel. 52
(1 0 2), 29.0 deg, rel. 44
(1 1 2), 35.6 deg, rel. 60
(2 0 0), 41.2 deg, rel. 100
(0 0 4), 41.6 deg, rel. 48
(2 2 0), 59.7 deg, rel. 29
(2 0 4), 60.0 deg, rel. 57
(2 2 4), 75.4 deg, rel. 27

Crystal structure
Lattice parameters (Å, degrees): 4.380 4.380 8.684 90.00 90.00 90.00
Space group P4/mmm (No. 123)
Unique sites:
Mg 0.000 0.000 0.000 (multiplicity 1)
Mg 0.000 0.000 0.500 (multiplicity 1)
Mg 0.000 0.500 0.243 (multiplicity 4)
Zn 0.500 0.500 0.000 (multiplicity 1)
Cd 0.500 0.500 0.500 (multiplicity 1)
O 0.000 0.000 0.249 (multiplicity 2)
O 0.000 0.500 0.000 (multiplicity 2)
O 0.000 0.500 0.500 (multiplicity 2)
O 0.500 0.500 0.235 (multiplicity 2)



No. 3
This entry pairs a crystal structure of Sc2ZnIn with its computed XRD peak list. Radiation: copper Kα. Structure: a DFT-relaxed cell (GGA-PBE, the Materials Project).
Neutral-atom scattering factors, no anomalous dispersion.

Most intense lines, 2θ = 10–90°, low angle first:
(1 1 1), 22.2 deg, rel. 6
(2 0 0), 25.7 deg, rel. 16
(2 2 0), 36.6 deg, rel. 100
(4 0 0), 52.7 deg, rel. 17
(4 2 0), 59.6 deg, rel. 6
(4 2 2), 65.9 deg, rel. 32
(4 4 0), 77.8 deg, rel. 10
(6 2 0), 89.2 deg, rel. 14

Crystal structure
Lattice parameters (Å, degrees): 6.942 6.942 6.942 90.00 90.00 90.00
Space group Fm-3m (No. 225)
Unique sites:
Sc 0.250 0.250 0.250 (multiplicity 8)
Zn 0.000 0.000 0.000 (multiplicity 4)
In 0.000 0.000 0.500 (multiplicity 4)



No. 4
This entry pairs a crystal structure of SbPt3 with its computed XRD peak list. Radiation: copper Kα. Structure: a DFT-relaxed cell (GGA-PBE, the Materials Project).
Neutral-atom scattering factors, no anomalous dispersion.

Most intense lines, 2θ = 10–90°, low angle first:
(1 1 1), 23.7 deg, rel. 2
(2 0 0), 27.4 deg, rel. 1
(2 2 0), 39.1 deg, rel. 100
(3 1 1), 46.2 deg, rel. 1
(4 0 0), 56.5 deg, rel. 17
(3 3 1), 62.1 deg, rel. 1
(4 2 2), 70.9 deg, rel. 35
(4 4 0), 84.0 deg, rel. 11

Crystal structure
Lattice parameters (Å, degrees): 6.515 6.515 6.515 90.00 90.00 90.00
Space group Fm-3m (No. 225)
Unique sites:
Sb 0.000 0.000 0.000 (multiplicity 4)
Pt 0.000 0.000 0.500 (multiplicity 4)
Pt 0.250 0.250 0.250 (multiplicity 8)



No. 5
This entry pairs a crystal structure of HfGa4Co with its computed XRD peak list. Radiation: copper Kα. Structure: a DFT-relaxed cell (GGA-PBE, the Materials Project).
Neutral-atom scattering factors, no anomalous dispersion.

Most intense lines, 2θ = 10–90°, low angle first:
(1 0 0), 21.7 deg, rel. 67
(1 0 1), 25.8 deg, rel. 19
(1 1 1), 34.0 deg, rel. 28
(1 0 2), 35.6 deg, rel. 38
(1 1 2), 42.1 deg, rel. 100
(2 0 0), 44.2 deg, rel. 51
(2 1 2), 58.0 deg, rel. 18
(3 1 2), 79.9 deg, rel. 29

Crystal structure
Lattice parameters (Å, degrees): 4.096 4.096 6.407 90.00 90.00 90.00
Space group P4/mmm (No. 123)
Unique sites:
Hf 0.000 0.000 0.000 (multiplicity 1)
Ga 0.000 0.500 0.293 (multiplicity 4)
Co 0.000 0.000 0.500 (multiplicity 1)